Computed X-ray diffraction stick pattern
Compound: Na5B8C2
Radiation: copper Kα
Structure: a cell relaxed with PBE
Neutral-atom scattering factors, no anomalous dispersion.

a = 13.3111 Å, b = 13.3111 Å, c = 8.6609 Å
α = 90.00°, β = 90.00°, γ = 167.87°
Fractional coordinates of all 30 atoms:
Na 0.0000 0.0000 0.0000
Na 0.0000 0.0000 0.5000
Na 0.2005 0.7995 0.5041
Na 0.2005 0.7995 0.9959
Na 0.3998 0.6002 0.0010
Na 0.3998 0.6002 0.4990
Na 0.6002 0.3998 0.5010
Na 0.6002 0.3998 0.9990
Na 0.7995 0.2005 0.0041
Na 0.7995 0.2005 0.4959
B 0.0700 0.9300 0.2500
B 0.1288 0.8712 0.7500
B 0.1330 0.8670 0.2500
B 0.2653 0.7347 0.2500
B 0.3245 0.6755 0.7500
B 0.3312 0.6688 0.2500
B 0.4618 0.5382 0.2500
B 0.4722 0.5278 0.7500
B 0.5278 0.4722 0.2500
B 0.5382 0.4618 0.7500
B 0.6688 0.3312 0.7500
B 0.6755 0.3245 0.2500
B 0.7347 0.2653 0.7500
B 0.8670 0.1330 0.7500
B 0.8712 0.1288 0.2500
B 0.9300 0.0700 0.7500
C 0.0689 0.9311 0.7500
C 0.2661 0.7339 0.7500
C 0.7339 0.2661 0.2500
C 0.9311 0.0689 0.2500

Principal peaks in the range 10° ≤ 2θ ≤ 80°, sorted by position:
2θ 33.86, I = 13.8; 2θ 36.17, I = 16.3; 2θ 39.91, I = 49.5; 2θ 41.71, I = 37.6; 2θ 41.93, I = 100.0; 2θ 56.37, I = 9.4; 2θ 62.09, I = 18.1; 2θ 66.50, I = 7.6; 2θ 76.30, I = 13.0; 2θ 77.61, I = 17.2

---

Computed X-ray diffraction stick pattern
Compound: Na5B8C2
Radiation: copper Kα
Structure: a cell relaxed with PBE
Neutral-atom scattering factors, no anomalous dispersion.

a = 11.7992 Å, b = 11.7992 Å, c = 10.1436 Å
α = 105.94°, β = 105.94°, γ = 13.74°
Fractional coordinates of all 30 atoms:
Na 0.0000 0.0000 0.0000
Na 0.1005 0.1005 0.6989
Na 0.2009 0.2009 0.4001
Na 0.2985 0.2985 0.1018
Na 0.3992 0.3992 0.7959
Na 0.5000 0.5000 0.5000
Na 0.6008 0.6008 0.2041
Na 0.7015 0.7015 0.8982
Na 0.7991 0.7991 0.5999
Na 0.8995 0.8995 0.3011
B 0.0225 0.0225 0.2957
B 0.0885 0.0885 0.4257
B 0.1254 0.1254 0.0003
B 0.2192 0.2192 0.6878
B 0.2849 0.2849 0.8192
B 0.3207 0.3207 0.3926
B 0.4171 0.4171 0.0855
B 0.4800 0.4800 0.2111
B 0.5200 0.5200 0.7889
B 0.5829 0.5829 0.9145
B 0.6793 0.6793 0.6074
B 0.7151 0.7151 0.1808
B 0.7808 0.7808 0.3122
B 0.8746 0.8746 0.9997
B 0.9115 0.9115 0.5743
B 0.9775 0.9775 0.7043
C 0.1837 0.1837 0.1176
C 0.3804 0.3804 0.5130
C 0.6196 0.6196 0.4870
C 0.8163 0.8163 0.8824

Principal peaks in the range 10° ≤ 2θ ≤ 80°, sorted by position:
2θ 33.94, I = 15.5; 2θ 36.09, I = 18.6; 2θ 40.00, I = 55.7; 2θ 41.83, I = 100.0; 2θ 41.90, I = 57.2; 2θ 56.37, I = 10.6; 2θ 62.14, I = 20.5; 2θ 66.24, I = 10.0; 2θ 77.62, I = 9.9; 2θ 77.79, I = 9.7

---

Computed X-ray diffraction stick pattern
Compound: Na10B13C7
Radiation: copper Kα
Structure: a cell relaxed with PBE
Neutral-atom scattering factors, no anomalous dispersion.

a = 4.9557 Å, b = 7.6639 Å, c = 9.0068 Å
α = 76.02°, β = 74.04°, γ = 71.17°
Fractional coordinates of all 30 atoms:
Na 0.0000 0.0000 0.0000
Na 0.0000 0.4989 0.5050
Na 0.1998 0.0991 0.5021
Na 0.2013 0.6000 0.9992
Na 0.3986 0.6981 0.5057
Na 0.4020 0.1987 0.9990
Na 0.5992 0.2981 0.5058
Na 0.6005 0.7985 0.0003
Na 0.7992 0.8980 0.5032
Na 0.8032 0.3995 0.9981
B 0.0355 0.8488 0.7516
B 0.2010 0.7336 0.2520
B 0.2173 0.4490 0.7523
B 0.2209 0.9466 0.2518
B 0.3629 0.3487 0.2521
B 0.4356 0.0492 0.7510
B 0.5682 0.4488 0.7526
B 0.5857 0.9633 0.2517
B 0.6312 0.6604 0.7525
B 0.7705 0.5374 0.2519
B 0.8193 0.7512 0.2515
B 0.8430 0.2375 0.7514
B 0.9586 0.1599 0.2520
C 0.0286 0.3487 0.2520
C 0.1695 0.2463 0.7511
C 0.3694 0.8548 0.7515
C 0.4333 0.5390 0.2521
C 0.6229 0.1584 0.2524
C 0.7756 0.0434 0.7507
C 0.9661 0.6515 0.7527

Principal peaks in the range 10° ≤ 2θ ≤ 80°, sorted by position:
2θ 35.86, I = 20.0; 2θ 36.25, I = 8.0; 2θ 41.83, I = 100.0; 2θ 42.17, I = 53.0; 2θ 42.35, I = 38.9; 2θ 56.67, I = 10.8; 2θ 64.20, I = 9.0; 2θ 64.96, I = 17.2; 2θ 77.10, I = 12.4; 2θ 79.83, I = 9.0

---

Computed X-ray diffraction stick pattern
Compound: Na4B7C
Radiation: copper Kα
Structure: a cell relaxed with PBE
Neutral-atom scattering factors, no anomalous dispersion.

a = 5.1266 Å, b = 5.9690 Å, c = 9.1602 Å
α = 99.37°, β = 106.24°, γ = 90.04°
Fractional coordinates of all 24 atoms:
Na 0.0000 0.0000 0.0000
Na 0.0000 0.5000 0.0000
Na 0.2492 0.1245 0.4990
Na 0.2513 0.6248 0.4993
Na 0.4996 0.2502 0.9999
Na 0.5004 0.7498 0.0001
Na 0.7487 0.3752 0.5007
Na 0.7508 0.8755 0.5010
B 0.0592 0.1744 0.7493
B 0.0589 0.7007 0.7496
B 0.1937 0.4372 0.7487
B 0.2934 0.8144 0.2491
B 0.2936 0.3096 0.2489
B 0.4524 0.5622 0.2494
B 0.4757 0.0623 0.2493
B 0.5243 0.9377 0.7507
B 0.5476 0.4378 0.7506
B 0.7064 0.6904 0.7511
B 0.7066 0.1856 0.7509
B 0.8063 0.5628 0.2513
B 0.9411 0.2993 0.2504
B 0.9408 0.8256 0.2507
C 0.2043 0.9377 0.7494
C 0.7957 0.0623 0.2506

Principal peaks in the range 10° ≤ 2θ ≤ 80°, sorted by position:
2θ 34.78, I = 21.7; 2θ 40.71, I = 100.0; 2θ 40.90, I = 53.6; 2θ 41.68, I = 36.9; 2θ 55.38, I = 11.6; 2θ 62.64, I = 17.8; 2θ 75.42, I = 12.5; 2θ 77.17, I = 12.5; 2θ 77.70, I = 14.0; 2θ 78.09, I = 17.3

---

Computed X-ray diffraction stick pattern
Compound: Na8B15C
Radiation: copper Kα
Structure: a cell relaxed with PBE
Neutral-atom scattering factors, no anomalous dispersion.

a = 2.8134 Å, b = 10.3092 Å, c = 10.3092 Å
α = 115.69°, β = 90.00°, γ = 90.00°
Fractional coordinates of all 24 atoms:
Na 0.0000 0.1253 0.8747
Na 0.0000 0.3756 0.6270
Na 0.0000 0.6270 0.3756
Na 0.0000 0.8747 0.1253
Na 0.5000 0.1248 0.3758
Na 0.5000 0.3758 0.1248
Na 0.5000 0.6260 0.8778
Na 0.5000 0.8778 0.6260
B 0.0000 0.0782 0.5788
B 0.0000 0.1695 0.1695
B 0.0000 0.3271 0.3271
B 0.0000 0.4231 0.9230
B 0.0000 0.5788 0.0782
B 0.0000 0.6887 0.6887
B 0.0000 0.9230 0.4231
B 0.5000 0.0662 0.0662
B 0.5000 0.1724 0.6734
B 0.5000 0.3284 0.8287
B 0.5000 0.4295 0.4295
B 0.5000 0.5863 0.5863
B 0.5000 0.6734 0.1724
B 0.5000 0.8287 0.3284
B 0.5000 0.9064 0.9064
C 0.0000 0.8309 0.8309

Principal peaks in the range 10° ≤ 2θ ≤ 80°, sorted by position:
2θ 32.64, I = 15.6; 2θ 35.87, I = 16.8; 2θ 38.77, I = 51.4; 2θ 41.38, I = 36.8; 2θ 41.59, I = 100.0; 2θ 55.90, I = 9.7; 2θ 60.36, I = 19.4; 2θ 75.61, I = 13.3; 2θ 75.83, I = 18.1; 2θ 79.69, I = 9.3

---

Computed X-ray diffraction stick pattern
Compound: Na10B17C3
Radiation: copper Kα
Structure: a cell relaxed with PBE
Neutral-atom scattering factors, no anomalous dispersion.

a = 8.6981 Å, b = 13.4363 Å, c = 13.4363 Å
α = 12.05°, β = 90.00°, γ = 90.00°
Fractional coordinates of all 30 atoms:
Na 0.2482 0.0000 0.0000
Na 0.2493 0.6005 0.6005
Na 0.2499 0.2006 0.2006
Na 0.2502 0.8004 0.8004
Na 0.2516 0.3999 0.3999
Na 0.7484 0.3999 0.3999
Na 0.7501 0.2006 0.2006
Na 0.7498 0.8004 0.8004
Na 0.7507 0.6005 0.6005
Na 0.7518 0.0000 0.0000
B 0.0000 0.0702 0.0702
B 0.0000 0.1342 0.1342
B 0.0000 0.3331 0.3331
B 0.0000 0.4642 0.4642
B 0.0000 0.5272 0.5272
B 0.0000 0.6748 0.6748
B 0.0000 0.7419 0.7419
B 0.0000 0.9225 0.9225
B 0.5000 0.0624 0.0624
B 0.5000 0.1277 0.1277
B 0.5000 0.2693 0.2693
B 0.5000 0.3318 0.3318
B 0.5000 0.4746 0.4746
B 0.5000 0.6659 0.6659
B 0.5000 0.7294 0.7294
B 0.5000 0.8726 0.8726
B 0.5000 0.9350 0.9350
C 0.0000 0.2720 0.2720
C 0.0000 0.8639 0.8639
C 0.5000 0.5331 0.5331

Principal peaks in the range 10° ≤ 2θ ≤ 80°, sorted by position:
2θ 33.53, I = 14.2; 2θ 36.00, I = 16.7; 2θ 39.58, I = 49.7; 2θ 41.53, I = 37.5; 2θ 41.74, I = 100.0; 2θ 56.11, I = 9.7; 2θ 61.57, I = 17.8; 2θ 66.27, I = 7.5; 2θ 75.91, I = 13.2; 2θ 77.01, I = 17.0

---

Computed X-ray diffraction stick pattern
Compound: Na5B8C2
Radiation: copper Kα
Structure: a cell relaxed with PBE
Neutral-atom scattering factors, no anomalous dispersion.

a = 11.7965 Å, b = 11.7965 Å, c = 10.1494 Å
α = 106.01°, β = 106.01°, γ = 13.74°
Fractional coordinates of all 30 atoms:
Na 0.0000 0.0000 0.0000
Na 0.1018 0.1018 0.6979
Na 0.2003 0.2003 0.3940
Na 0.2995 0.2995 0.0954
Na 0.4006 0.4006 0.7989
Na 0.5000 0.5000 0.4975
Na 0.6003 0.6003 0.1933
Na 0.7013 0.7013 0.8975
Na 0.8004 0.8004 0.5967
Na 0.8998 0.8998 0.2945
B 0.0757 0.0757 0.3950
B 0.1178 0.1178 0.9813
B 0.2231 0.2231 0.6932
B 0.2883 0.2883 0.8238
B 0.3166 0.3166 0.3782
B 0.3802 0.3802 0.5064
B 0.4193 0.4193 0.0849
B 0.4855 0.4855 0.2157
B 0.5276 0.5276 0.8024
B 0.6180 0.6180 0.4802
B 0.6807 0.6807 0.6071
B 0.7095 0.7095 0.1636
B 0.7761 0.7761 0.2965
B 0.8790 0.8790 0.0053
B 0.9232 0.9232 0.5932
B 0.9862 0.9862 0.7192
C 0.0172 0.0172 0.2776
C 0.1792 0.1792 0.1029
C 0.5866 0.5866 0.9204
C 0.8192 0.8192 0.8863

Principal peaks in the range 10° ≤ 2θ ≤ 80°, sorted by position:
2θ 33.97, I = 15.5; 2θ 36.09, I = 18.8; 2θ 39.96, I = 27.8; 2θ 40.07, I = 27.7; 2θ 41.81, I = 100.0; 2θ 41.90, I = 57.1; 2θ 56.35, I = 10.8; 2θ 62.17, I = 20.0; 2θ 66.24, I = 10.1; 2θ 77.82, I = 9.6

---

Computed X-ray diffraction stick pattern
Compound: Na10B13C7
Radiation: copper Kα
Structure: a cell relaxed with PBE
Neutral-atom scattering factors, no anomalous dispersion.

a = 11.5310 Å, b = 11.5310 Å, c = 9.9281 Å
α = 107.43°, β = 107.43°, γ = 14.07°
Fractional coordinates of all 30 atoms:
Na 0.0000 0.0000 0.0000
Na 0.0981 0.0981 0.6997
Na 0.1999 0.1999 0.3994
Na 0.2994 0.2994 0.1019
Na 0.3997 0.3997 0.7981
Na 0.4996 0.4996 0.5005
Na 0.6006 0.6006 0.1983
Na 0.6970 0.6970 0.9028
Na 0.8000 0.8000 0.5965
Na 0.9005 0.9005 0.3016
B 0.0853 0.0853 0.4228
B 0.1100 0.1100 0.9717
B 0.1813 0.1813 0.1159
B 0.2719 0.2719 0.7942
B 0.3186 0.3186 0.3884
B 0.4229 0.4229 0.0959
B 0.4910 0.4910 0.2324
B 0.5128 0.5128 0.7752
B 0.6790 0.6790 0.6104
B 0.7219 0.7219 0.1971
B 0.8151 0.8151 0.8798
B 0.8804 0.8804 0.0107
B 0.9161 0.9161 0.5804
C 0.0217 0.0217 0.2942
C 0.2109 0.2109 0.6734
C 0.3842 0.3842 0.5166
C 0.5783 0.5783 0.9075
C 0.6158 0.6158 0.4853
C 0.7860 0.7860 0.3250
C 0.9815 0.9815 0.7109

Principal peaks in the range 10° ≤ 2θ ≤ 80°, sorted by position:
2θ 35.38, I = 10.7; 2θ 36.40, I = 17.2; 2θ 41.40, I = 50.0; 2θ 42.29, I = 100.0; 2θ 42.34, I = 38.5; 2θ 57.04, I = 9.7; 2θ 64.17, I = 16.9; 2θ 66.15, I = 8.2; 2θ 79.90, I = 8.2; 2θ 79.97, I = 8.2